Record 1
Starting from DFT lattice parameters and positions (PBE), the powder diffractogram of LuBr was simulated for copper Kα.
No peak broadening, texture or thermal motion is included.

Principal peaks in the range 5 to 70 degrees two-theta, by intensity:
2θ (°), I (rel.)
30.0, 100.0
39.8, 85.2
28.6, 41.0
50.6, 33.6
63.9, 31.6
18.0, 28.0
36.4, 23.7
66.2, 19.0

Atomic structure:
Cell: 3.6069 3.6069 9.8717 Å, 90.00 90.00 120.00°
Atoms (fractional coordinates):
Lu1 0.3333 0.6667 0.0000
Lu2 0.6667 0.3333 0.5000
Br1 0.3333 0.6667 0.7130
Br2 0.6667 0.3333 0.2130

Record 2
Starting from DFT lattice parameters and positions (PBE), the powder diffractogram of Lu5In4Pt2 was simulated for copper Kα.
No peak broadening, texture or thermal motion is included.

Principal peaks in the range 5 to 70 degrees two-theta, by intensity:
2θ (°), I (rel.)
35.1, 100.0
34.0, 78.0
37.3, 77.1
36.6, 50.1
34.8, 37.2
36.9, 29.5
51.6, 26.2
33.6, 20.7

Atomic structure:
Cell: 8.0829 18.0290 3.5417 Å, 90.00 90.00 90.00°
Atoms (fractional coordinates):
Lu1 0.0000 0.0000 0.0000
Lu2 0.1169 0.4146 0.0000
Lu3 0.2438 0.2208 0.0000
Lu4 0.2562 0.7208 0.0000
Lu5 0.3831 0.9146 0.0000
Lu6 0.5000 0.5000 0.0000
Lu7 0.6169 0.0854 0.0000
Lu8 0.7438 0.2792 0.0000
Lu9 0.7562 0.7792 0.0000
Lu10 0.8831 0.5854 0.0000
In1 0.0758 0.8522 0.5000
In2 0.2083 0.5658 0.5000
In3 0.2917 0.0658 0.5000
In4 0.4242 0.3522 0.5000
In5 0.5758 0.6478 0.5000
In6 0.7083 0.9342 0.5000
In7 0.7917 0.4342 0.5000
In8 0.9242 0.1478 0.5000
Pt1 0.0262 0.3034 0.5000
Pt2 0.4738 0.8034 0.5000
Pt3 0.5262 0.1966 0.5000
Pt4 0.9738 0.6966 0.5000

Record 3
Starting from DFT lattice parameters and positions (PBE), the powder diffractogram of EuSi2Rh2 was simulated for copper Kα.
No peak broadening, texture or thermal motion is included.

Principal peaks in the range 5 to 70 degrees two-theta, by intensity:
2θ (°), I (rel.)
35.2, 100.0
43.7, 36.9
33.8, 33.0
23.1, 27.3
62.6, 19.7
34.7, 18.8
57.0, 17.9
56.3, 15.0

Atomic structure:
Cell: 5.9399 5.9399 5.9399 Å, 139.14 139.14 59.17°
Atoms (fractional coordinates):
Eu1 0.0000 0.0000 0.0000
Si1 0.3706 0.3706 0.0000
Si2 0.6294 0.6294 0.0000
Rh1 0.2500 0.7500 0.5000
Rh2 0.7500 0.2500 0.5000

Record 4
Starting from DFT lattice parameters and positions (PBE), the powder diffractogram of Ba2Ge4Pd5 was simulated for copper Kα.
No peak broadening, texture or thermal motion is included.

Principal peaks in the range 5 to 70 degrees two-theta, by intensity:
2θ (°), I (rel.)
34.1, 100.0
34.2, 75.8
39.4, 57.0
32.1, 45.4
25.2, 45.1
58.6, 37.9
29.0, 34.2
43.9, 32.7

Atomic structure:
Cell: 9.0967 9.0967 5.9352 Å, 90.00 90.00 104.39°
Atoms (fractional coordinates):
Ba1 0.1423 0.8577 0.9649
Ba2 0.3577 0.6423 0.4649
Ba3 0.6423 0.3577 0.5351
Ba4 0.8577 0.1423 0.0351
Ge1 0.0441 0.2926 0.5580
Ge2 0.2074 0.4559 0.9420
Ge3 0.2926 0.0441 0.4420
Ge4 0.4559 0.2074 0.0580
Ge5 0.5441 0.7926 0.9420
Ge6 0.7074 0.9559 0.5580
Ge7 0.7926 0.5441 0.0580
Ge8 0.9559 0.7074 0.4420
Pd1 0.0000 0.0000 0.5000
Pd2 0.0229 0.4771 0.2500
Pd3 0.2266 0.2734 0.2500
Pd4 0.2734 0.2266 0.7500
Pd5 0.4771 0.0229 0.7500
Pd6 0.5000 0.5000 0.0000
Pd7 0.5229 0.9771 0.2500
Pd8 0.7266 0.7734 0.2500
Pd9 0.7734 0.7266 0.7500
Pd10 0.9771 0.5229 0.7500

Record 5
Starting from DFT lattice parameters and positions (PBE), the powder diffractogram of Mg6TiFe was simulated for copper Kα.
No peak broadening, texture or thermal motion is included.

Principal peaks in the range 5 to 70 degrees two-theta, by intensity:
2θ (°), I (rel.)
38.7, 100.0
37.8, 77.1
33.7, 46.4
37.6, 45.3
16.7, 37.0
51.4, 26.1
68.6, 16.5
16.1, 16.2

Atomic structure:
Cell: 4.7825 6.2775 6.2775 Å, 58.01 90.00 90.00°
Atoms (fractional coordinates):
Mg1 0.0000 0.0000 0.0000
Mg2 0.0000 0.5148 0.9940
Mg3 0.0000 0.9940 0.5148
Mg4 0.5000 0.1645 0.1645
Mg5 0.5000 0.1763 0.6576
Mg6 0.5000 0.6576 0.1763
Ti1 0.0000 0.5234 0.5234
Fe1 0.5000 0.6393 0.6393

Record 6
Starting from DFT lattice parameters and positions (PBE), the powder diffractogram of KCu2Se2 was simulated for copper Kα.
No peak broadening, texture or thermal motion is included.

Principal peaks in the range 5 to 70 degrees two-theta, by intensity:
2θ (°), I (rel.)
29.8, 100.0
12.9, 90.2
41.5, 68.3
45.6, 49.9
51.5, 46.2
34.4, 40.9
55.4, 32.3
23.3, 18.1

Atomic structure:
Cell: 7.4121 7.4121 7.4121 Å, 148.84 148.84 44.65°
Atoms (fractional coordinates):
K1 0.0000 0.0000 0.0000
Cu1 0.2500 0.7500 0.5000
Cu2 0.7500 0.2500 0.5000
Se1 0.3570 0.3570 0.0000
Se2 0.6430 0.6430 0.0000